The following is a calculated XRD peak list of Tm2ZrTaN4. It was derived from DFT lattice parameters and positions (GGA-PBE), using Cu Kα (λ = 1.5418 Å).

Main lines, low angle first (10° ≤ 2θ ≤ 80°):
- d 2.699, 2θ = 33.19°, rel. 35
- d 2.667, 2θ = 33.61°, rel. 100
- d 2.316, 2θ = 38.88°, rel. 96
- d 1.645, 2θ = 55.88°, rel. 32
- d 1.630, 2θ = 56.43°, rel. 32
- d 1.405, 2θ = 66.56°, rel. 15
- d 1.396, 2θ = 67.06°, rel. 29
- d 1.391, 2θ = 67.31°, rel. 14
- d 1.350, 2θ = 69.67°, rel. 5
- d 1.333, 2θ = 70.69°, rel. 11

Structure:
Unit cell a=5.652 b=3.259 c=5.716 alpha=90.00 beta=109.20 gamma=90.00
Element x y z (fractional)
Tm (0.000, 0.000, 0.000)
Tm (0.500, 0.500, 0.000)
Zr (0.000, 0.500, 0.500)
Ta (0.500, 0.000, 0.500)
N (0.252, 0.000, 0.737)
N (0.263, 0.500, 0.267)
N (0.737, 0.500, 0.733)
N (0.748, 0.000, 0.263)

---

The following is a calculated XRD peak list of U3TaN7. It was derived from DFT lattice parameters and positions (GGA-PBE), using Cu Kα (λ = 1.5418 Å).

Main lines, low angle first (10° ≤ 2θ ≤ 80°):
- d 3.021, 2θ = 29.57°, rel. 100
- d 3.008, 2θ = 29.70°, rel. 99
- d 2.613, 2θ = 34.32°, rel. 55
- d 2.606, 2θ = 34.42°, rel. 26
- d 1.854, 2θ = 49.15°, rel. 14
- d 1.844, 2θ = 49.41°, rel. 70
- d 1.578, 2θ = 58.49°, rel. 28
- d 1.572, 2θ = 58.72°, rel. 57
- d 1.510, 2θ = 61.38°, rel. 10
- d 1.504, 2θ = 61.67°, rel. 11

Structure:
Unit cell a=6.395 b=6.395 c=7.368 alpha=90.00 beta=90.00 gamma=109.15
Element x y z (fractional)
U (0.000, 0.000, 0.000)
U (0.000, 0.000, 0.500)
U (0.028, 0.503, 0.750)
U (0.497, 0.972, 0.750)
U (0.503, 0.028, 0.250)
U (0.972, 0.497, 0.250)
Ta (0.500, 0.500, 0.000)
Ta (0.500, 0.500, 0.500)
N (0.128, 0.872, 0.250)
N (0.138, 0.862, 0.750)
N (0.151, 0.405, 0.029)
N (0.151, 0.405, 0.471)
N (0.405, 0.151, 0.529)
N (0.405, 0.151, 0.971)
N (0.411, 0.589, 0.750)
N (0.589, 0.411, 0.250)
N (0.595, 0.849, 0.029)
N (0.595, 0.849, 0.471)
N (0.849, 0.595, 0.529)
N (0.849, 0.595, 0.971)
N (0.862, 0.138, 0.250)
N (0.872, 0.128, 0.750)

---

The following is a calculated XRD peak list of UTaN. It was derived from DFT lattice parameters and positions (GGA-PBE), using Cu Kα (λ = 1.5418 Å).

Main lines, low angle first (10° ≤ 2θ ≤ 80°):
- d 2.832, 2θ = 31.59°, rel. 32
- d 2.650, 2θ = 33.82°, rel. 20
- d 2.401, 2θ = 37.46°, rel. 100
- d 1.935, 2θ = 46.95°, rel. 20
- d 1.538, 2θ = 60.17°, rel. 26
- d 1.530, 2θ = 60.50°, rel. 18
- d 1.346, 2θ = 69.87°, rel. 21
- d 1.290, 2θ = 73.37°, rel. 15
- d 1.249, 2θ = 76.23°, rel. 5
- d 1.200, 2θ = 79.92°, rel. 5

Structure:
Unit cell a=3.060 b=3.060 c=5.664 alpha=90.00 beta=90.00 gamma=120.00
Element x y z (fractional)
U (0.000, 0.000, 0.000)
Ta (0.667, 0.333, 0.509)
N (0.333, 0.667, 0.294)

---

The following is a calculated XRD peak list of ZrU2TaN4. It was derived from DFT lattice parameters and positions (GGA-PBE), using Cu Kα (λ = 1.5418 Å).

Main lines, low angle first (10° ≤ 2θ ≤ 80°):
- d 5.508, 2θ = 16.09°, rel. 13
- d 2.754, 2θ = 32.51°, rel. 39
- d 2.687, 2θ = 33.35°, rel. 73
- d 2.678, 2θ = 33.46°, rel. 36
- d 2.339, 2θ = 38.49°, rel. 100
- d 1.670, 2θ = 54.99°, rel. 35
- d 1.636, 2θ = 56.21°, rel. 22
- d 1.428, 2θ = 65.35°, rel. 17
- d 1.407, 2θ = 66.46°, rel. 22
- d 1.343, 2θ = 70.04°, rel. 12

Structure:
Unit cell a=5.662 b=3.284 c=5.822 alpha=90.00 beta=108.93 gamma=90.00
Element x y z (fractional)
Zr (0.000, 0.000, 0.000)
U (0.000, 0.500, 0.500)
U (0.500, 0.000, 0.500)
Ta (0.500, 0.500, 0.000)
N (0.253, 0.500, 0.230)
N (0.268, 0.000, 0.775)
N (0.732, 0.000, 0.225)
N (0.747, 0.500, 0.770)